Entry 1:
Simulated powder XRD pattern of Tl3Ag3Sb2S6 for Cu Kα, 1.54184 Å, from a DFT-relaxed cell (GGA-PBE, OQMD).
Peak positions follow from Bragg's law for the DFT cell and can differ from measured ones.

Structure:
abc: 11.5103 12.1300 12.2193
angles: 90.00 119.92 90.00
Positions (direct):
Tl: 0.1634 0.2481 0.2284
Tl: 0.1634 0.2519 0.7284
Tl: 0.1929 0.5097 0.4648
Tl: 0.1929 0.9903 0.9648
Tl: 0.2143 0.6148 0.1114
Tl: 0.2143 0.8852 0.6114
Tl: 0.7857 0.1148 0.3886
Tl: 0.7857 0.3852 0.8886
Tl: 0.8071 0.0097 0.0352
Tl: 0.8071 0.4903 0.5352
Tl: 0.8366 0.7481 0.2716
Tl: 0.8366 0.7519 0.7716
Ag: 0.1109 0.1533 0.4263
Ag: 0.1109 0.3467 0.9263
Ag: 0.4717 0.6360 0.4236
Ag: 0.4717 0.8640 0.9236
Ag: 0.4731 0.6261 0.0509
Ag: 0.4731 0.8739 0.5509
Ag: 0.5269 0.1261 0.4491
Ag: 0.5269 0.3739 0.9491
Ag: 0.5283 0.1360 0.0764
Ag: 0.5283 0.3640 0.5764
Ag: 0.8891 0.6533 0.0737
Ag: 0.8891 0.8467 0.5737
Sb: 0.1701 0.5917 0.7593
Sb: 0.1701 0.9083 0.2593
Sb: 0.4986 0.1457 0.7452
Sb: 0.4986 0.3543 0.2452
Sb: 0.5014 0.6457 0.7548
Sb: 0.5014 0.8543 0.2548
Sb: 0.8299 0.0917 0.7407
Sb: 0.8299 0.4083 0.2407
S: 0.0042 0.6806 0.5561
S: 0.0042 0.8194 0.0561
S: 0.0055 0.5326 0.8211
S: 0.0055 0.9674 0.3211
S: 0.2696 0.7496 0.4015
S: 0.2696 0.7504 0.9015
S: 0.3555 0.0812 0.5254
S: 0.3555 0.4188 0.0254
S: 0.3719 0.0733 0.8437
S: 0.3719 0.4267 0.3437
S: 0.4156 0.1639 0.2114
S: 0.4156 0.3361 0.7114
S: 0.5844 0.6639 0.2886
S: 0.5844 0.8361 0.7886
S: 0.6281 0.5733 0.6563
S: 0.6281 0.9267 0.1563
S: 0.6445 0.5812 0.9746
S: 0.6445 0.9188 0.4746
S: 0.7304 0.2496 0.0985
S: 0.7304 0.2504 0.5985
S: 0.9945 0.0326 0.6789
S: 0.9945 0.4674 0.1789
S: 0.9958 0.1806 0.9439
S: 0.9958 0.3194 0.4439

Principal peaks in the range 10° ≤ 2θ ≤ 90°, low angle first:
two_theta  I_rel
23.6  62
23.7  56
26.8  100
29.3  95
30.0  84
32.8  57



Entry 2:
Simulated powder XRD pattern of ScAgSnSeS2 for Cu Kα, 1.54184 Å, from a DFT-relaxed cell (GGA-PBE, OQMD).
Peak positions follow from Bragg's law for the DFT cell and can differ from measured ones.

Structure:
abc: 7.3311 7.3311 10.4568
angles: 90.00 90.00 149.63
Positions (direct):
Sc: 0.0000 0.0000 0.0000
Sc: 0.0000 0.0000 0.5000
Ag: 0.3463 0.6537 0.7500
Ag: 0.6537 0.3463 0.2500
Sn: 0.3185 0.6815 0.2500
Sn: 0.6815 0.3185 0.7500
Se: 0.0425 0.9575 0.7500
Se: 0.9575 0.0425 0.2500
S: 0.3758 0.6242 0.5192
S: 0.3758 0.6242 0.9808
S: 0.6242 0.3758 0.0192
S: 0.6242 0.3758 0.4808

Principal peaks in the range 10° ≤ 2θ ≤ 90°, low angle first:
two_theta  I_rel
17.0  54
30.0  100
31.2  20
34.3  44
34.7  36
46.2  57



Entry 3:
Simulated powder XRD pattern of ScAgSnTeS2 for Cu Kα, 1.54184 Å, from a DFT-relaxed cell (GGA-PBE, OQMD).
Peak positions follow from Bragg's law for the DFT cell and can differ from measured ones.

Structure:
abc: 7.1405 7.1405 10.9614
angles: 90.00 90.00 148.19
Positions (direct):
Sc: 0.0000 0.0000 0.0000
Sc: 0.0000 0.0000 0.5000
Ag: 0.4669 0.5331 0.7500
Ag: 0.5331 0.4669 0.2500
Sn: 0.2132 0.7868 0.2500
Sn: 0.7868 0.2132 0.7500
Te: 0.1133 0.8867 0.7500
Te: 0.8867 0.1133 0.2500
S: 0.3780 0.6220 0.5524
S: 0.3780 0.6220 0.9476
S: 0.6220 0.3780 0.0524
S: 0.6220 0.3780 0.4476

Principal peaks in the range 10° ≤ 2θ ≤ 90°, low angle first:
two_theta  I_rel
16.2  99
31.2  99
32.7  49
34.3  100
39.0  34
40.2  32



Entry 4:
Simulated powder XRD pattern of ScAgSnTe2S for Cu Kα, 1.54184 Å, from a DFT-relaxed cell (GGA-PBE, OQMD).
Peak positions follow from Bragg's law for the DFT cell and can differ from measured ones.

Structure:
abc: 7.4475 7.4475 10.1399
angles: 90.00 90.00 147.09
Positions (direct):
Sc: 0.0000 0.0000 0.0000
Sc: 0.0000 0.0000 0.5000
Ag: 0.4833 0.5167 0.7500
Ag: 0.5167 0.4833 0.2500
Sn: 0.2725 0.7275 0.2500
Sn: 0.7275 0.2725 0.7500
Te: 0.3544 0.6456 0.5484
Te: 0.3544 0.6456 0.9516
Te: 0.6456 0.3544 0.0484
Te: 0.6456 0.3544 0.4516
S: 0.0808 0.9192 0.7500
S: 0.9192 0.0808 0.2500

Principal peaks in the range 10° ≤ 2θ ≤ 90°, low angle first:
two_theta  I_rel
22.0  73
29.6  72
30.6  79
33.4  100
34.6  68
42.1  55



Entry 5:
Simulated powder XRD pattern of SrScAgS3 for Cu Kα, 1.54184 Å, from a DFT-relaxed cell (GGA-PBE, OQMD).
Peak positions follow from Bragg's law for the DFT cell and can differ from measured ones.

Structure:
abc: 6.8765 6.8765 10.0026
angles: 90.00 90.00 146.77
Positions (direct):
Sr: 0.2494 0.7506 0.7500
Sr: 0.7506 0.2494 0.2500
Sc: 0.5000 0.5000 0.0000
Sc: 0.5000 0.5000 0.5000
Ag: 0.0344 0.9656 0.2500
Ag: 0.9656 0.0344 0.7500
S: 0.1347 0.8653 0.0429
S: 0.1347 0.8653 0.4571
S: 0.4168 0.5832 0.2500
S: 0.5832 0.4168 0.7500
S: 0.8653 0.1347 0.5429
S: 0.8653 0.1347 0.9571

Principal peaks in the range 10° ≤ 2θ ≤ 90°, low angle first:
two_theta  I_rel
17.7  43
31.8  100
32.5  28
35.5  60
35.9  55
41.0  33



Entry 6:
Simulated powder XRD pattern of SrSiAg2Se3S for Cu Kα, 1.54184 Å, from a DFT-relaxed cell (GGA-PBE, OQMD).
Peak positions follow from Bragg's law for the DFT cell and can differ from measured ones.

Structure:
abc: 6.3470 6.3967 6.4246
angles: 103.66 111.20 113.25
Positions (direct):
Sr: 0.0000 0.0000 0.0000
Si: 0.0075 0.4948 0.4948
Ag: 0.4917 0.7962 0.3093
Ag: 0.4958 0.1966 0.6860
Se: 0.0015 0.4728 0.8461
Se: 0.6237 0.1431 0.1490
Se: 0.9963 0.8444 0.4701
S: 0.3568 0.5112 0.5085

Principal peaks in the range 10° ≤ 2θ ≤ 90°, low angle first:
two_theta  I_rel
28.6  84
28.7  91
28.9  87
29.9  95
35.6  83
35.8  100



Entry 7:
Simulated powder XRD pattern of SrAg2SnSe2S2 for Cu Kα, 1.54184 Å, from a DFT-relaxed cell (GGA-PBE, OQMD).
Peak positions follow from Bragg's law for the DFT cell and can differ from measured ones.

Structure:
abc: 6.4972 6.4972 7.0833
angles: 122.96 122.96 69.58
Positions (direct):
Sr: 0.0000 0.0000 0.0000
Ag: 0.3113 0.3091 0.8243
Ag: 0.6909 0.6887 0.1757
Sn: 0.4898 0.5102 0.5000
Se: 0.5119 0.1231 0.5251
Se: 0.8769 0.4881 0.4749
S: 0.1261 0.5098 0.1186
S: 0.4902 0.8739 0.8814

Principal peaks in the range 10° ≤ 2θ ≤ 90°, low angle first:
two_theta  I_rel
16.3  28
28.3  100
29.4  17
35.0  63
45.0  32
46.3  20



Entry 8:
Simulated powder XRD pattern of SrAg2SnSe3S for Cu Kα, 1.54184 Å, from a DFT-relaxed cell (GGA-PBE, OQMD).
Peak positions follow from Bragg's law for the DFT cell and can differ from measured ones.

Structure:
abc: 6.5472 6.5662 6.5788
angles: 104.32 110.10 113.84
Positions (direct):
Sr: 0.0000 0.0000 0.0000
Ag: 0.5052 0.1956 0.6801
Ag: 0.5060 0.8059 0.3203
Sn: 0.9973 0.5069 0.5044
Se: 0.0111 0.5261 0.1233
Se: 0.4056 0.8980 0.8804
Se: 0.9958 0.1182 0.5168
S: 0.6177 0.4905 0.5014

Principal peaks in the range 10° ≤ 2θ ≤ 90°, low angle first:
two_theta  I_rel
16.2  30
28.0  72
28.1  76
34.6  100
44.3  23
44.5  25